# 1
This entry pairs a crystal structure of CeSmRuCl with its theoretical powder diffractogram. Radiation: Cu Kα (weighted mean of Kα1 and Kα2). Structure: a crystal structure in Alexandria, relaxed with GGA-PBE.
Lines closer than 0.1° are merged.

Structural model:
a b c (Å): 3.9248 3.9248 23.1410
angles (deg): 90.00 90.00 120.00
Space group R3m (No. 160, hexagonal axes)
Asymmetric unit:
Ce (0.0000, 0.0000, 0.0000) [3 per cell]
Sm (0.0000, 0.0000, 0.8031) [3 per cell]
Ru (0.0000, 0.0000, 0.3922) [3 per cell]
Cl (0.0000, 0.0000, 0.5657) [3 per cell]

Top 12 peaks for 2θ = 10–80°, by angle:
- 2θ 11.5, intensity 498
- 2θ 26.5, intensity 141
- 2θ 27.3, intensity 312
- 2θ 30.5, intensity 181
- 2θ 32.7, intensity 1000
- 2θ 38.0, intensity 201
- 2θ 46.3, intensity 412
- 2θ 47.5, intensity 275
- 2θ 47.8, intensity 92
- 2θ 57.8, intensity 192
- 2θ 77.0, intensity 164
- 2θ 78.9, intensity 101

=====

# 2
This entry pairs a crystal structure of Ac2ZnCd7 with its theoretical powder diffractogram. Radiation: Cu Kα (weighted mean of Kα1 and Kα2). Structure: a crystal structure in Alexandria, relaxed with GGA-PBE.
Lines closer than 0.1° are merged.

Structural model:
a b c (Å): 4.777 4.777 11.690
angles (deg): 90.00 90.00 90.00
Space group P-4m2 (No. 115)
Asymmetric unit:
Ac (0.000, 0.500, 0.240) [2 per cell]
Zn (0.500, 0.500, 0.000) [1 per cell]
Cd (0.000, 0.000, 0.000) [1 per cell]
Cd (0.000, 0.000, 0.500) [1 per cell]
Cd (0.000, 0.500, 0.639) [2 per cell]
Cd (0.000, 0.500, 0.875) [2 per cell]
Cd (0.500, 0.500, 0.500) [1 per cell]

Top 12 peaks for 2θ = 10–80°, by angle:
- 2θ 26.4, intensity 201
- 2θ 29.6, intensity 656
- 2θ 30.6, intensity 1000
- 2θ 37.7, intensity 591
- 2θ 40.8, intensity 102
- 2θ 43.1, intensity 311
- 2θ 48.6, intensity 334
- 2θ 54.3, intensity 320
- 2θ 58.5, intensity 251
- 2θ 63.6, intensity 307
- 2θ 75.8, intensity 90
- 2θ 76.4, intensity 121